Entry 1:
Tb4TaN5: computed powder diffraction line list (Cu Kα (weighted mean of Kα1 and Kα2)), based on a cell relaxed with PBE.
Neutral-atom scattering factors, no anomalous dispersion.

Atomic structure:
a b c (Å): 5.8962 5.8962 5.8962
angles (deg): 100.01 100.01 130.73
Fractional coordinates of all 10 atoms:
1 Tb 0.1024 0.6980 0.8004
2 Tb 0.3020 0.1024 0.4043
3 Tb 0.6980 0.8976 0.5957
4 Tb 0.8976 0.3020 0.1996
5 Ta 0.4584 0.4584 0.0000
6 N 0.0543 0.0543 0.0000
7 N 0.2221 0.4049 0.6325
8 N 0.4049 0.7724 0.1828
9 N 0.5896 0.2221 0.8172
10 N 0.7724 0.5896 0.3675

Peak list (10 most intense, 10 to 90 degrees two-theta, in order of rising 2θ)
d = 2.791 Å, rel. 100.0
d = 2.458 Å, rel. 23.5
d = 2.397 Å, rel. 45.7
d = 1.716 Å, rel. 31.1
d = 1.695 Å, rel. 15.5
d = 1.475 Å, rel. 14.5
d = 1.449 Å, rel. 29.1
d = 1.395 Å, rel. 15.4
d = 1.113 Å, rel. 12.1
d = 1.094 Å, rel. 6.6

=====

Entry 2:
PmAl2Cu: computed powder diffraction line list (Cu Kα (weighted mean of Kα1 and Kα2)), based on a cell relaxed with PBE.
Neutral-atom scattering factors, no anomalous dispersion.

Atomic structure:
a b c (Å): 4.1717 6.8874 5.8100
angles (deg): 90.00 110.94 90.00
Fractional coordinates of all 8 atoms:
1 Pm 0.0596 0.2500 0.1182
2 Pm 0.9404 0.7500 0.8818
3 Al 0.3412 0.0557 0.6822
4 Al 0.3412 0.4443 0.6822
5 Al 0.6588 0.5557 0.3178
6 Al 0.6588 0.9443 0.3178
7 Cu 0.2153 0.7500 0.4322
8 Cu 0.7847 0.2500 0.5678

Peak list (10 most intense, 10 to 90 degrees two-theta, in order of rising 2θ)
d = 4.262 Å, rel. 14.7
d = 3.894 Å, rel. 62.1
d = 3.444 Å, rel. 47.2
d = 2.580 Å, rel. 87.2
d = 2.540 Å, rel. 100.0
d = 2.524 Å, rel. 61.3
d = 2.086 Å, rel. 28.2
d = 1.758 Å, rel. 29.4
d = 1.609 Å, rel. 15.3
d = 1.607 Å, rel. 15.0

=====

Entry 3:
CsNdCuI5: computed powder diffraction line list (Cu Kα (weighted mean of Kα1 and Kα2)), based on a cell relaxed with PBE.
Neutral-atom scattering factors, no anomalous dispersion.

Atomic structure:
a b c (Å): 8.5763 8.5763 11.6653
angles (deg): 104.19 104.19 105.17
Fractional coordinates of all 16 atoms:
1 Cs 0.1418 0.8582 0.7500
2 Cs 0.8582 0.1418 0.2500
3 Nd 0.5000 0.5000 0.0000
4 Nd 0.5000 0.5000 0.5000
5 Cu 0.1914 0.8086 0.2500
6 Cu 0.8086 0.1914 0.7500
7 I 0.1124 0.2769 0.9263
8 I 0.1844 0.5986 0.3819
9 I 0.2769 0.1124 0.4263
10 I 0.4014 0.8156 0.1181
11 I 0.4191 0.5809 0.7500
12 I 0.5809 0.4191 0.2500
13 I 0.5986 0.1844 0.8819
14 I 0.7231 0.8876 0.5737
15 I 0.8156 0.4014 0.6181
16 I 0.8876 0.7231 0.0737

Peak list (10 most intense, 10 to 90 degrees two-theta, in order of rising 2θ)
d = 7.812 Å, rel. 29.1
d = 5.297 Å, rel. 74.6
d = 4.768 Å, rel. 33.3
d = 3.737 Å, rel. 55.7
d = 3.623 Å, rel. 100.0
d = 3.345 Å, rel. 49.0
d = 3.245 Å, rel. 28.5
d = 2.748 Å, rel. 31.2
d = 2.736 Å, rel. 45.2
d = 2.297 Å, rel. 40.4

=====

Entry 4:
Tl8Te2Se: computed powder diffraction line list (Cu Kα (weighted mean of Kα1 and Kα2)), based on a cell relaxed with PBE.
Neutral-atom scattering factors, no anomalous dispersion.

Atomic structure:
a b c (Å): 10.6684 10.6684 8.2515
angles (deg): 98.51 98.51 24.03
Fractional coordinates of all 11 atoms:
1 Tl 0.0075 0.0075 0.2464
2 Tl 0.2188 0.2188 0.8544
3 Tl 0.3501 0.3501 0.4527
4 Tl 0.3956 0.3956 0.0048
5 Tl 0.6044 0.6044 0.9952
6 Tl 0.6499 0.6499 0.5473
7 Tl 0.7812 0.7812 0.1456
8 Tl 0.9925 0.9925 0.7536
9 Te 0.1691 0.1691 0.2592
10 Te 0.8309 0.8309 0.7408
11 Se 0.5000 0.5000 0.5000

Peak list (10 most intense, 10 to 90 degrees two-theta, in order of rising 2θ)
d = 3.464 Å, rel. 8.8
d = 3.355 Å, rel. 11.0
d = 3.292 Å, rel. 10.3
d = 3.022 Å, rel. 100.0
d = 2.987 Å, rel. 12.4
d = 2.850 Å, rel. 9.9
d = 2.737 Å, rel. 21.7
d = 2.221 Å, rel. 18.6
d = 1.511 Å, rel. 9.0
d = 1.394 Å, rel. 9.9

=====

- Which formula does entry 3 have?
  CsNdCuI5